Starting from a PBE+U-relaxed structure, the powder XRD pattern of ErFeGe2O7 was simulated for Cu Kα, 1.54184 Å.

Structural model:
Cell lengths 6.941, 6.941, 6.684 Å; angles 109.95, 109.95, 77.95 degrees
Fractional coordinates of all 22 atoms:
Er1 0.202 0.798 0.000
Er2 0.798 0.202 0.000
Fe1 0.307 0.693 0.500
Fe2 0.693 0.307 0.500
Ge1 0.213 0.213 0.508
Ge2 0.302 0.302 0.072
Ge3 0.698 0.698 0.928
Ge4 0.787 0.787 0.492
O1 0.057 0.728 0.604
O2 0.133 0.133 0.043
O3 0.220 0.568 0.167
O4 0.272 0.943 0.396
O5 0.302 0.302 0.802
O6 0.365 0.365 0.459
O7 0.432 0.780 0.833
O8 0.568 0.220 0.167
O9 0.635 0.635 0.541
O10 0.698 0.698 0.198
O11 0.728 0.057 0.604
O12 0.780 0.432 0.833
O13 0.867 0.867 0.957
O14 0.943 0.272 0.396

Top 10 peaks for 10 to 90 degrees two-theta, by angle:
2θ = 14.75°, d 6.005, intensity 15.7
2θ = 26.94°, d 3.309, intensity 31.4
2θ = 27.49°, d 3.244, intensity 100.0
2θ = 29.75°, d 3.003, intensity 45.6
2θ = 33.69°, d 2.660, intensity 16.6
2θ = 34.22°, d 2.621, intensity 32.6
2θ = 35.98°, d 2.496, intensity 15.8
2θ = 46.88°, d 1.938, intensity 17.6
2θ = 53.11°, d 1.725, intensity 19.5
2θ = 58.89°, d 1.568, intensity 19.5